[1]
Simulated PXRD pattern of CaAlInAu6 for Cu Kα, 1.54184 Å, from the PBE geometry in Alexandria.
Lines closer than 0.1° are merged.

Most intense lines, 2θ from 10° to 90°, in order of rising 2θ:
d [Å], Rel. int., (hkl)
3.078, 27, 0 3 1
3.034, 29, 2 0 2
2.917, 100, 2 2 0
2.567, 24, 2 2 2
2.483, 36, 2 1 3
2.408, 55, 0 4 0
2.356, 88, 0 2 4
2.175, 32, 2 0 4
2.137, 22, 3 2 1
1.982, 24, 2 2 4

Cell and atoms:
```
data_CaAlInAu6
_chemical_formula_sum 'Ca4 Al4 In4 Au24'
_cell_length_a 7.333
_cell_length_b 9.633
_cell_length_c 10.806
_cell_angle_alpha 90.00
_cell_angle_beta 90.00
_cell_angle_gamma 90.00
_symmetry_space_group_name_H-M 'I m m a'
_symmetry_Int_Tables_number 74
_symmetry_space_group_name_Hall '-I 2b 2'
loop_
_atom_site_label
_atom_site_fract_x
_atom_site_fract_y
_atom_site_fract_z
Ca1 0.000 0.250 0.219
Al1 0.000 0.000 0.000
In1 0.250 0.250 0.750
Au1 0.000 0.250 0.519
Au2 0.000 0.250 0.939
Au3 0.199 0.026 0.373
```

=====

[2]
Simulated PXRD pattern of CaScAl2Au5 for Cu Kα, 1.54184 Å, from the PBE geometry in Alexandria.
Lines closer than 0.1° are merged.

Most intense lines, 2θ from 10° to 90°, in order of rising 2θ:
d [Å], Rel. int., (hkl)
8.698, 20, 0 0 1
4.349, 21, 0 0 2
3.210, 16, 1 1 0
2.583, 100, 1 1 2
2.270, 40, 2 0 0
2.175, 13, 0 0 4
1.605, 14, 2 2 0
1.570, 19, 2 0 4
1.363, 28, 3 1 2
1.321, 12, 1 1 6

Cell and atoms:
```
data_CaScAl2Au5
_chemical_formula_sum 'Ca1 Sc1 Al2 Au5'
_cell_length_a 4.540
_cell_length_b 4.540
_cell_length_c 8.698
_cell_angle_alpha 90.00
_cell_angle_beta 90.00
_cell_angle_gamma 90.00
_symmetry_space_group_name_H-M 'P 4/m m m'
_symmetry_Int_Tables_number 123
_symmetry_space_group_name_Hall '-P 4 2'
loop_
_atom_site_label
_atom_site_fract_x
_atom_site_fract_y
_atom_site_fract_z
Ca1 0.000 0.000 0.000
Sc1 0.000 0.000 0.500
Al1 0.500 0.500 0.357
Au1 0.000 0.500 0.235
Au2 0.500 0.500 0.000
```

=====

[3]
Simulated PXRD pattern of Ca2ScAlAu6 for Cu Kα, 1.54184 Å, from the PBE geometry in Alexandria.
Lines closer than 0.1° are merged.

Most intense lines, 2θ from 10° to 90°, in order of rising 2θ:
d [Å], Rel. int., (hkl)
6.841, 64, 0 0 1
6.259, 39, 0 1 0
5.266, 38, 0 1 1
3.383, 92, 1 0 -1
3.130, 42, 0 2 0
2.633, 80, 0 2 2
2.468, 94, 2 1 1
2.444, 64, 1 0 -2
2.267, 100, 1 0 3
2.137, 40, 1 -2 1

Cell and atoms:
```
data_Ca2ScAlAu6
_chemical_formula_sum 'Ca2 Sc1 Al1 Au6'
_cell_length_a 4.937
_cell_length_b 6.882
_cell_length_c 7.447
_cell_angle_alpha 71.25
_cell_angle_beta 70.79
_cell_angle_gamma 69.22
_symmetry_space_group_name_H-M 'P -1'
_symmetry_Int_Tables_number 2
_symmetry_space_group_name_Hall '-P 1'
loop_
_atom_site_label
_atom_site_fract_x
_atom_site_fract_y
_atom_site_fract_z
Ca1 0.240 0.336 0.186
Sc1 0.000 0.000 0.000
Al1 0.500 0.500 0.500
Au1 0.041 0.294 0.625
Au2 0.260 0.857 0.622
Au3 0.499 0.179 0.825
```

=====

[4]
Simulated PXRD pattern of Ca3Al2SiAu6 for Cu Kα, 1.54184 Å, from the PBE geometry in Alexandria.
Lines closer than 0.1° are merged.

Most intense lines, 2θ from 10° to 90°, in order of rising 2θ:
d [Å], Rel. int., (hkl)
8.321, 21, 0 0 1
4.468, 40, 1 0 1
4.160, 46, 0 0 2
2.648, 18, 2 0 0
2.523, 100, 0 2 1
2.464, 17, 1 1 2
2.234, 44, 2 0 2
1.915, 30, 0 2 3
1.636, 19, 2 0 4
1.529, 18, 2 2 0

Cell and atoms:
```
data_Ca3Al2SiAu6
_chemical_formula_sum 'Ca3 Al2 Si1 Au6'
_cell_length_a 6.1155
_cell_length_b 6.1155
_cell_length_c 8.3208
_cell_angle_alpha 90.00
_cell_angle_beta 90.00
_cell_angle_gamma 120.00
_symmetry_space_group_name_H-M 'P -3 m 1'
_symmetry_Int_Tables_number 164
_symmetry_space_group_name_Hall '-P 3 2"'
loop_
_atom_site_label
_atom_site_fract_x
_atom_site_fract_y
_atom_site_fract_z
Ca1 0.0000 0.0000 0.0000
Ca2 0.3333 0.6667 0.6310
Al1 0.3333 0.6667 0.0426
Si1 0.0000 0.0000 0.5000
Au1 0.1739 0.3478 0.2904
```

=====

[5]
Simulated PXRD pattern of Ca3AlSn2Au6 for Cu Kα, 1.54184 Å, from the PBE geometry in Alexandria.
Lines closer than 0.1° are merged.

Most intense lines, 2θ from 10° to 90°, in order of rising 2θ:
d [Å], Rel. int., (hkl)
4.489, 46, 1 0 1
4.337, 32, 0 0 2
2.892, 26, 0 0 3
2.623, 25, 2 0 0
2.511, 100, 0 2 1
2.484, 42, 1 1 2
2.245, 36, 2 0 2
1.943, 36, 0 2 3
1.672, 20, 2 0 4
1.515, 24, 2 2 0

Cell and atoms:
```
data_Ca3AlSn2Au6
_chemical_formula_sum 'Ca3 Al1 Sn2 Au6'
_cell_length_a 6.0584
_cell_length_b 6.0584
_cell_length_c 8.6749
_cell_angle_alpha 90.00
_cell_angle_beta 90.00
_cell_angle_gamma 120.00
_symmetry_space_group_name_H-M 'P -3 m 1'
_symmetry_Int_Tables_number 164
_symmetry_space_group_name_Hall '-P 3 2"'
loop_
_atom_site_label
_atom_site_fract_x
_atom_site_fract_y
_atom_site_fract_z
Ca1 0.0000 0.0000 0.0000
Ca2 0.3333 0.6667 0.6085
Al1 0.0000 0.0000 0.5000
Sn1 0.3333 0.6667 0.0061
Au1 0.1729 0.3457 0.2876
```

=====

[6]
Simulated PXRD pattern of CaAlZn2Au4 for Cu Kα, 1.54184 Å, from the PBE geometry in Alexandria.
Lines closer than 0.1° are merged.

Most intense lines, 2θ from 10° to 90°, in order of rising 2θ:
d [Å], Rel. int., (hkl)
8.418, 20, 0 0 3
3.334, 71, 1 0 4
2.657, 33, 1 0 7
2.460, 68, 0 1 8
2.267, 100, 1 1 0
1.982, 28, 0 1 11
1.667, 21, 2 0 8
1.352, 25, 1 1 15
1.343, 20, 1 2 8
1.309, 17, 3 0 0

Cell and atoms:
```
data_CaAlZn2Au4
_chemical_formula_sum 'Ca3 Al3 Zn6 Au12'
_cell_length_a 4.5342
_cell_length_b 4.5342
_cell_length_c 25.2544
_cell_angle_alpha 90.00
_cell_angle_beta 90.00
_cell_angle_gamma 120.00
_symmetry_space_group_name_H-M 'R -3 m'
_symmetry_Int_Tables_number 166
_symmetry_space_group_name_Hall '-R 3 2"'
loop_
_atom_site_label
_atom_site_fract_x
_atom_site_fract_y
_atom_site_fract_z
Ca1 0.0000 0.0000 0.0000
Al1 0.0000 0.0000 0.5000
Zn1 0.0000 0.0000 0.2502
Au1 0.0000 0.0000 0.1332
Au2 0.0000 0.0000 0.3978
```

=====

[7]
Simulated PXRD pattern of CaAl2ZnAu for Cu Kα, 1.54184 Å, from the PBE geometry in Alexandria.
Lines closer than 0.1° are merged.

Most intense lines, 2θ from 10° to 90°, in order of rising 2θ:
d [Å], Rel. int., (hkl)
5.725, 67, 0 0 2
3.968, 47, 0 1 1
3.943, 83, 1 0 1
2.981, 31, 1 1 0
2.834, 59, 0 1 3
2.825, 28, 1 0 3
2.644, 100, 1 1 2
2.115, 27, 0 2 0
2.065, 57, 1 1 4
2.012, 50, 1 0 5

Cell and atoms:
```
data_CaAl2ZnAu
_chemical_formula_sum 'Ca2 Al4 Zn2 Au2'
_cell_length_a 4.200
_cell_length_b 4.231
_cell_length_c 11.450
_cell_angle_alpha 90.00
_cell_angle_beta 90.00
_cell_angle_gamma 90.00
_symmetry_space_group_name_H-M 'I m m 2'
_symmetry_Int_Tables_number 44
_symmetry_space_group_name_Hall 'I 2 -2'
loop_
_atom_site_label
_atom_site_fract_x
_atom_site_fract_y
_atom_site_fract_z
Ca1 0.000 0.000 0.000
Al1 0.000 0.000 0.386
Al2 0.000 0.500 0.244
Zn1 0.000 0.500 0.752
Au1 0.000 0.000 0.606
```

=====

[8]
Simulated PXRD pattern of Ca3AlZn2Au6 for Cu Kα, 1.54184 Å, from the PBE geometry in Alexandria.
Lines closer than 0.1° are merged.

Most intense lines, 2θ from 10° to 90°, in order of rising 2θ:
d [Å], Rel. int., (hkl)
4.436, 46, 1 0 1
4.268, 46, 0 0 2
2.846, 17, 0 0 3
2.596, 21, 2 0 0
2.483, 100, 0 2 1
2.453, 30, 1 1 2
2.218, 36, 2 0 2
1.918, 38, 0 2 3
1.649, 15, 2 0 4
1.499, 21, 2 2 0

Cell and atoms:
```
data_Ca3AlZn2Au6
_chemical_formula_sum 'Ca3 Al1 Zn2 Au6'
_cell_length_a 5.9946
_cell_length_b 5.9946
_cell_length_c 8.5369
_cell_angle_alpha 90.00
_cell_angle_beta 90.00
_cell_angle_gamma 120.00
_symmetry_space_group_name_H-M 'P -3 m 1'
_symmetry_Int_Tables_number 164
_symmetry_space_group_name_Hall '-P 3 2"'
loop_
_atom_site_label
_atom_site_fract_x
_atom_site_fract_y
_atom_site_fract_z
Ca1 0.0000 0.0000 0.0000
Ca2 0.3333 0.6667 0.6144
Al1 0.0000 0.0000 0.5000
Zn1 0.3333 0.6667 0.0207
Au1 0.1738 0.3475 0.2817
```

=====

[9]
Simulated PXRD pattern of Al3CdAu6 for Cu Kα, 1.54184 Å, from the PBE geometry in Alexandria.
Lines closer than 0.1° are merged.

Most intense lines, 2θ from 10° to 90°, in order of rising 2θ:
d [Å], Rel. int., (hkl)
3.085, 61, 0 1 2
2.954, 55, 1 1 -2
2.886, 56, 3 0 1
2.817, 37, 2 1 -1
2.761, 70, 0 0 4
2.545, 61, 1 1 -3
2.326, 65, 3 1 -1
2.227, 100, 2 1 3
2.178, 43, 1 0 -5
1.860, 56, 0 2 0

Cell and atoms:
```
data_Al3CdAu6
_chemical_formula_sum 'Al6 Cd2 Au12'
_cell_length_a 9.138
_cell_length_b 3.721
_cell_length_c 11.061
_cell_angle_alpha 90.00
_cell_angle_beta 93.62
_cell_angle_gamma 90.00
_symmetry_space_group_name_H-M 'P 1 21/m 1'
_symmetry_Int_Tables_number 11
_symmetry_space_group_name_Hall '-P 2yb'
loop_
_atom_site_label
_atom_site_fract_x
_atom_site_fract_y
_atom_site_fract_z
Al1 0.085 0.250 0.330
Al2 0.206 0.250 0.948
Al3 0.353 0.750 0.356
Cd1 0.384 0.750 0.755
Au1 0.005 0.750 0.896
Au2 0.129 0.750 0.490
Au3 0.137 0.250 0.713
Au4 0.305 0.250 0.196
Au5 0.386 0.250 0.550
Au6 0.387 0.750 0.016
```

=====

[10]
Simulated PXRD pattern of AlCdAu5 for Cu Kα, 1.54184 Å, from the PBE geometry in Alexandria.
Lines closer than 0.1° are merged.

Most intense lines, 2θ from 10° to 90°, in order of rising 2θ:
d [Å], Rel. int., (hkl)
3.038, 20, 1 1 0
2.794, 37, 1 1 1
2.371, 17, 0 0 3
2.310, 100, 1 1 2
2.148, 49, 2 0 0
1.592, 21, 2 0 3
1.519, 16, 2 2 0
1.370, 10, 2 0 4
1.289, 16, 1 1 5
1.269, 30, 3 1 2

Cell and atoms:
```
data_AlCdAu5
_chemical_formula_sum 'Al1 Cd1 Au5'
_cell_length_a 4.297
_cell_length_b 4.297
_cell_length_c 7.114
_cell_angle_alpha 90.00
_cell_angle_beta 90.00
_cell_angle_gamma 90.00
_symmetry_space_group_name_H-M 'P 4/m m m'
_symmetry_Int_Tables_number 123
_symmetry_space_group_name_Hall '-P 4 2'
loop_
_atom_site_label
_atom_site_fract_x
_atom_site_fract_y
_atom_site_fract_z
Al1 0.000 0.000 0.000
Cd1 0.500 0.500 0.500
Au1 0.000 0.000 0.500
Au2 0.000 0.500 0.210
```

=====

[11]
Simulated PXRD pattern of AlCd4Au4 for Cu Kα, 1.54184 Å, from the PBE geometry in Alexandria.
Lines closer than 0.1° are merged.

Most intense lines, 2θ from 10° to 90°, in order of rising 2θ:
d [Å], Rel. int., (hkl)
3.301, 14, 1 1 1
3.278, 13, 3 1 -1
2.919, 66, 2 0 -2
2.667, 30, 0 2 0
2.391, 62, 3 1 1
2.375, 100, 5 1 -1
2.077, 13, 2 2 1
1.969, 24, 2 2 -2
1.567, 12, 1 1 3
1.553, 13, 7 1 -3

Cell and atoms:
```
data_AlCd4Au4
_chemical_formula_sum 'Al2 Cd8 Au8'
_cell_length_a 13.260
_cell_length_b 5.333
_cell_length_c 5.839
_cell_angle_alpha 90.00
_cell_angle_beta 115.50
_cell_angle_gamma 90.00
_symmetry_space_group_name_H-M 'C 1 2 1'
_symmetry_Int_Tables_number 5
_symmetry_space_group_name_Hall 'C 2y'
loop_
_atom_site_label
_atom_site_fract_x
_atom_site_fract_y
_atom_site_fract_z
Al1 0.000 0.000 0.000
Cd1 0.179 0.196 0.457
Cd2 0.181 0.816 0.902
Au1 0.083 0.319 0.807
Au2 0.084 0.693 0.366
```

=====

[12]
Simulated PXRD pattern of Al3Cd2Au5 for Cu Kα, 1.54184 Å, from the PBE geometry in Alexandria.
Lines closer than 0.1° are merged.

Most intense lines, 2θ from 10° to 90°, in order of rising 2θ:
d [Å], Rel. int., (hkl)
3.169, 35, 0 1 2
3.036, 51, 2 0 -1
2.582, 46, 1 1 -3
2.573, 50, 2 -2 0
2.428, 46, 1 -3 1
2.326, 100, 2 1 1
2.301, 47, 0 1 3
2.192, 52, 1 -2 3
2.160, 39, 2 1 -3
2.150, 53, 1 3 -2

Cell and atoms:
```
data_Al3Cd2Au5
_chemical_formula_sum 'Al6 Cd4 Au10'
_cell_length_a 6.239
_cell_length_b 7.651
_cell_length_c 8.188
_cell_angle_alpha 101.88
_cell_angle_beta 99.66
_cell_angle_gamma 97.82
_symmetry_space_group_name_H-M 'P -1'
_symmetry_Int_Tables_number 2
_symmetry_space_group_name_Hall '-P 1'
loop_
_atom_site_label
_atom_site_fract_x
_atom_site_fract_y
_atom_site_fract_z
Al1 0.047 0.306 0.023
Al2 0.232 0.553 0.480
Al3 0.421 0.944 0.712
Cd1 0.109 0.893 0.350
Cd2 0.461 0.686 0.082
Au1 0.022 0.774 0.669
Au2 0.130 0.456 0.780
Au3 0.247 0.993 0.023
Au4 0.420 0.368 0.249
Au5 0.421 0.218 0.556
```

=====

Copy entry 7 word for word.
Simulated PXRD pattern of CaAl2ZnAu for Cu Kα, 1.54184 Å, from the PBE geometry in Alexandria.
Lines closer than 0.1° are merged.

Most intense lines, 2θ from 10° to 90°, in order of rising 2θ:
d [Å], Rel. int., (hkl)
5.725, 67, 0 0 2
3.968, 47, 0 1 1
3.943, 83, 1 0 1
2.981, 31, 1 1 0
2.834, 59, 0 1 3
2.825, 28, 1 0 3
2.644, 100, 1 1 2
2.115, 27, 0 2 0
2.065, 57, 1 1 4
2.012, 50, 1 0 5

Cell and atoms:
```
data_CaAl2ZnAu
_chemical_formula_sum 'Ca2 Al4 Zn2 Au2'
_cell_length_a 4.200
_cell_length_b 4.231
_cell_length_c 11.450
_cell_angle_alpha 90.00
_cell_angle_beta 90.00
_cell_angle_gamma 90.00
_symmetry_space_group_name_H-M 'I m m 2'
_symmetry_Int_Tables_number 44
_symmetry_space_group_name_Hall 'I 2 -2'
loop_
_atom_site_label
_atom_site_fract_x
_atom_site_fract_y
_atom_site_fract_z
Ca1 0.000 0.000 0.000
Al1 0.000 0.000 0.386
Al2 0.000 0.500 0.244
Zn1 0.000 0.500 0.752
Au1 0.000 0.000 0.606
```